The following is a calculated PXRD pattern of Y2MgCuO4. It was derived from a crystal structure in the Materials Project, relaxed with GGA-PBE, using copper Kα.

Atomic structure:
Cell lengths 8.7616, 8.7616, 8.7616 Å; angles 153.17, 153.17, 38.31 degrees
Atoms (fractional coordinates):
Y  0.1922  0.1922  0.0000
Y  0.8078  0.8078  0.0000
Mg  0.0000  0.0000  0.0000
Cu  0.5000  0.5000  0.0000
O  0.0000  0.5000  0.5000
O  0.2500  0.7500  0.5000
O  0.5000  0.0000  0.5000
O  0.7500  0.2500  0.5000

Principal peaks in the range 10° ≤ 2θ ≤ 80°, in order of rising 2θ:
- 2θ = 21.47°, rel. 39
- 2θ = 27.25°, rel. 100
- 2θ = 31.11°, rel. 36
- 2θ = 32.45°, rel. 15
- 2θ = 34.95°, rel. 21
- 2θ = 44.31°, rel. 13
- 2θ = 44.57°, rel. 35
- 2θ = 45.57°, rel. 22
- 2θ = 49.99°, rel. 13
- 2θ = 53.03°, rel. 30

The following is a calculated PXRD pattern of Dy2Re2Si2C. It was derived from a crystal structure in the Materials Project, relaxed with GGA-PBE, using copper Kα.

Atomic structure:
Cell lengths 5.8300, 5.8300, 6.9433 Å; angles 124.92, 124.92, 40.07 degrees
Atoms (fractional coordinates):
Dy  0.0718  0.0718  0.2998
Dy  0.9282  0.9282  0.7002
Re  0.2929  0.2929  0.9076
Re  0.7071  0.7071  0.0924
Si  0.3579  0.3579  0.3178
Si  0.6421  0.6421  0.6822
C  0.5000  0.5000  0.0000

Principal peaks in the range 10° ≤ 2θ ≤ 80°, in order of rising 2θ:
- 2θ = 16.10°, rel. 27
- 2θ = 25.71°, rel. 25
- 2θ = 33.15°, rel. 44
- 2θ = 33.35°, rel. 96
- 2θ = 35.56°, rel. 100
- 2θ = 38.40°, rel. 23
- 2θ = 40.67°, rel. 29
- 2θ = 45.41°, rel. 29
- 2θ = 57.37°, rel. 19
- 2θ = 57.87°, rel. 24

The following is a calculated PXRD pattern of Mg7P6H4O24. It was derived from a crystal structure in the Materials Project, relaxed with GGA-PBE, using copper Kα.

Atomic structure:
Cell lengths 6.4894, 7.9081, 9.5368 Å; angles 104.36, 108.44, 101.24 degrees
Atoms (fractional coordinates):
Mg  0.0000  0.0000  0.0000
Mg  0.0549  0.7103  0.5145
Mg  0.2776  0.8062  0.2854
Mg  0.3828  0.4550  0.1082
Mg  0.6172  0.5450  0.8918
Mg  0.7224  0.1938  0.7146
Mg  0.9451  0.2897  0.4855
P  0.0888  0.5824  0.8271
P  0.2269  0.1484  0.7758
P  0.4106  0.2308  0.3701
P  0.5894  0.7692  0.6299
P  0.7731  0.8516  0.2242
P  0.9112  0.4176  0.1729
H  0.1772  0.8751  0.8036
H  0.3646  0.4117  0.5613
H  0.6354  0.5883  0.4387
H  0.8228  0.1249  0.1964
O  0.0199  0.1802  0.6631
O  0.0603  0.5463  0.6532
O  0.1073  0.7875  0.8999
O  0.1238  0.5376  0.1639
O  0.2013  0.9349  0.7187
O  0.2200  0.1865  0.9419
O  0.2659  0.2924  0.4731
O  0.2673  0.0474  0.2398
O  0.3057  0.5396  0.9140
O  0.3786  0.7874  0.5081
O  0.4521  0.2476  0.7704
O  0.4733  0.3831  0.3059
O  0.5267  0.6169  0.6941
O  0.5479  0.7524  0.2296
O  0.6214  0.2126  0.4919
O  0.6943  0.4604  0.0860
O  0.7327  0.9526  0.7602
O  0.7341  0.7076  0.5269
O  0.7800  0.8135  0.0581
O  0.7987  0.0651  0.2813
O  0.8762  0.4624  0.8361
O  0.8927  0.2125  0.1001
O  0.9397  0.4537  0.3468
O  0.9801  0.8198  0.3369

Principal peaks in the range 10° ≤ 2θ ≤ 80°, in order of rising 2θ:
- 2θ = 24.55°, rel. 23
- 2θ = 27.94°, rel. 26
- 2θ = 28.06°, rel. 51
- 2θ = 29.19°, rel. 54
- 2θ = 29.60°, rel. 100
- 2θ = 29.68°, rel. 59
- 2θ = 30.84°, rel. 27
- 2θ = 31.22°, rel. 22
- 2θ = 32.88°, rel. 29
- 2θ = 41.75°, rel. 34

The following is a calculated PXRD pattern of LiEuYO2. It was derived from a crystal structure in the Materials Project, relaxed with GGA-PBE, using copper Kα.

Atomic structure:
Cell lengths 3.4894, 3.4894, 8.7226 Å; angles 93.64, 93.64, 57.95 degrees
Atoms (fractional coordinates):
Li  0.0000  0.0000  0.0000
Eu  0.6379  0.6379  0.6408
Y  0.2855  0.2855  0.2933
O  0.5979  0.5979  0.1598
O  0.9649  0.9649  0.4344

Principal peaks in the range 10° ≤ 2θ ≤ 80°, in order of rising 2θ:
- 2θ = 10.17°, rel. 100
- 2θ = 20.42°, rel. 30
- 2θ = 30.83°, rel. 24
- 2θ = 31.62°, rel. 45
- 2θ = 31.84°, rel. 21
- 2θ = 32.33°, rel. 21
- 2θ = 34.72°, rel. 29
- 2θ = 37.38°, rel. 47
- 2θ = 51.27°, rel. 17
- 2θ = 52.59°, rel. 20

The following is a calculated PXRD pattern of Na2Ca3Si3O10. It was derived from a crystal structure in the Materials Project, relaxed with GGA-PBE, using copper Kα.

Atomic structure:
Cell lengths 8.6313, 8.6313, 11.4537 Å; angles 93.20, 93.20, 35.05 degrees
Atoms (fractional coordinates):
Na  0.1872  0.7248  0.5344
Na  0.2752  0.8128  0.9656
Na  0.7248  0.1872  0.0344
Na  0.8128  0.2752  0.4656
Ca  0.0000  0.5000  0.5000
Ca  0.0830  0.6124  0.7931
Ca  0.3876  0.9170  0.7069
Ca  0.5000  0.0000  0.0000
Ca  0.6124  0.0830  0.2931
Ca  0.9170  0.3876  0.2069
Si  0.1604  0.5368  0.1036
Si  0.2026  0.7974  0.2500
Si  0.4632  0.8396  0.3964
Si  0.5368  0.1604  0.6036
Si  0.7974  0.2026  0.7500
Si  0.8396  0.4632  0.8964
O  0.0073  0.0788  0.6510
O  0.0788  0.0073  0.1510
O  0.1565  0.1562  0.3905
O  0.1562  0.1565  0.8905
O  0.2379  0.3081  0.1618
O  0.2969  0.4210  0.9742
O  0.3081  0.2379  0.6618
O  0.3453  0.5189  0.1866
O  0.4210  0.2969  0.4742
O  0.4811  0.6547  0.3134
O  0.5189  0.3453  0.6866
O  0.5790  0.7031  0.5258
O  0.6547  0.4811  0.8134
O  0.6919  0.7621  0.3382
O  0.7031  0.5790  0.0258
O  0.7621  0.6919  0.8382
O  0.8438  0.8435  0.1095
O  0.8435  0.8438  0.6095
O  0.9212  0.9927  0.8490
O  0.9927  0.9212  0.3490

Principal peaks in the range 10° ≤ 2θ ≤ 80°, in order of rising 2θ:
- 2θ = 18.38°, rel. 63
- 2θ = 24.56°, rel. 85
- 2θ = 29.31°, rel. 69
- 2θ = 29.82°, rel. 63
- 2θ = 32.72°, rel. 94
- 2θ = 32.80°, rel. 68
- 2θ = 33.57°, rel. 100
- 2θ = 34.12°, rel. 57
- 2θ = 37.26°, rel. 37
- 2θ = 44.66°, rel. 46

The following is a calculated PXRD pattern of HoAs. It was derived from a crystal structure in the Materials Project, relaxed with GGA-PBE, using copper Kα.

Atomic structure:
Cell lengths 3.5609, 3.5609, 3.5609 Å; angles 90.00, 90.00, 90.00 degrees
Atoms (fractional coordinates):
Ho  0.0000  0.0000  0.0000
As  0.5000  0.5000  0.5000

Principal peaks in the range 10° ≤ 2θ ≤ 80°, in order of rising 2θ:
- 2θ = 25.01°, rel. 15
- 2θ = 35.66°, rel. 100
- 2θ = 44.05°, rel. 5
- 2θ = 51.32°, rel. 18
- 2θ = 57.91°, rel. 6
- 2θ = 64.05°, rel. 36
- 2θ = 75.52°, rel. 11

The following is a calculated PXRD pattern of AcAgAu2. It was derived from a crystal structure in the Materials Project, relaxed with GGA-PBE, using copper Kα.

Atomic structure:
Cell lengths 5.2003, 5.2003, 5.2003 Å; angles 60.00, 60.00, 60.00 degrees
Atoms (fractional coordinates):
Ac  0.0000  0.0000  0.0000
Ag  0.5000  0.5000  0.5000
Au  0.2500  0.2500  0.2500
Au  0.7500  0.7500  0.7500

Principal peaks in the range 10° ≤ 2θ ≤ 80°, in order of rising 2θ:
- 2θ = 20.92°, rel. 5
- 2θ = 24.20°, rel. 1
- 2θ = 34.49°, rel. 100
- 2θ = 40.69°, rel. 3
- 2θ = 49.58°, rel. 18
- 2θ = 54.38°, rel. 1
- 2θ = 61.80°, rel. 38
- 2θ = 66.01°, rel. 1
- 2θ = 72.74°, rel. 12
- 2θ = 76.65°, rel. 1

The following is a calculated PXRD pattern of LiMg6SiO8. It was derived from a crystal structure in the Materials Project, relaxed with GGA-PBE, using copper Kα.

Atomic structure:
Cell lengths 4.2112, 4.2112, 8.5502 Å; angles 90.00, 90.00, 90.00 degrees
Atoms (fractional coordinates):
Li  0.0000  0.0000  0.0000
Mg  0.0000  0.0000  0.5000
Mg  0.0000  0.5000  0.2462
Mg  0.0000  0.5000  0.7538
Mg  0.5000  0.0000  0.2462
Mg  0.5000  0.0000  0.7538
Mg  0.5000  0.5000  0.5000
Si  0.5000  0.5000  0.0000
O  0.0000  0.0000  0.2569
O  0.0000  0.0000  0.7431
O  0.0000  0.5000  0.0000
O  0.0000  0.5000  0.5000
O  0.5000  0.0000  0.0000
O  0.5000  0.0000  0.5000
O  0.5000  0.5000  0.2377
O  0.5000  0.5000  0.7623

Principal peaks in the range 10° ≤ 2θ ≤ 80°, in order of rising 2θ:
- 2θ = 21.10°, rel. 4
- 2θ = 23.55°, rel. 9
- 2θ = 29.78°, rel. 3
- 2θ = 36.78°, rel. 10
- 2θ = 42.28°, rel. 52
- 2θ = 42.95°, rel. 100
- 2θ = 61.85°, rel. 57
- 2θ = 62.37°, rel. 28
- 2θ = 74.65°, rel. 6
- 2θ = 78.25°, rel. 26

The following is a calculated PXRD pattern of Re2PbO6. It was derived from a crystal structure in the Materials Project, relaxed with GGA-PBE, using copper Kα.

Atomic structure:
Cell lengths 7.1907, 7.1907, 7.1907 Å; angles 94.99, 94.99, 94.99 degrees
Atoms (fractional coordinates):
Re  0.0000  0.3474  0.6526
Re  0.0000  0.6526  0.3474
Re  0.3474  0.0000  0.6526
Re  0.3474  0.6525  0.0000
Re  0.6526  0.0000  0.3474
Re  0.6526  0.3474  0.0000
Pb  0.1809  0.1809  0.1809
Pb  0.5000  0.5000  0.5000
Pb  0.8191  0.8191  0.8191
O  0.1213  0.4122  0.4122
O  0.1343  0.1343  0.6705
O  0.1343  0.6705  0.1343
O  0.2008  0.5000  0.7992
O  0.2008  0.7992  0.5000
O  0.3295  0.8657  0.8657
O  0.4122  0.1213  0.4122
O  0.4122  0.4122  0.1213
O  0.5000  0.2008  0.7992
O  0.5000  0.7992  0.2008
O  0.5878  0.5878  0.8787
O  0.5878  0.8787  0.5878
O  0.6705  0.1343  0.1343
O  0.7992  0.2008  0.5000
O  0.7992  0.5000  0.2008
O  0.8657  0.3295  0.8657
O  0.8657  0.8657  0.3295
O  0.8787  0.5878  0.5878

Principal peaks in the range 10° ≤ 2θ ≤ 80°, in order of rising 2θ:
- 2θ = 23.58°, rel. 7
- 2θ = 29.05°, rel. 87
- 2θ = 29.18°, rel. 100
- 2θ = 41.64°, rel. 29
- 2θ = 48.24°, rel. 10
- 2θ = 51.68°, rel. 59
- 2θ = 57.37°, rel. 29
- 2θ = 60.50°, rel. 13
- 2θ = 68.49°, rel. 15
- 2θ = 73.42°, rel. 14

The following is a calculated PXRD pattern of RbMg14Sb. It was derived from a crystal structure in the Materials Project, relaxed with GGA-PBE, using copper Kα.

Atomic structure:
Cell lengths 10.6166, 6.6073, 6.6073 Å; angles 60.16, 90.00, 90.00 degrees
Atoms (fractional coordinates):
Rb  0.0000  0.0000  0.0000
Mg  0.0000  0.0093  0.4944
Mg  0.0000  0.4944  0.0093
Mg  0.2469  0.6694  0.6694
Mg  0.2654  0.1739  0.6557
Mg  0.2654  0.6557  0.1739
Mg  0.2671  0.1748  0.1748
Mg  0.5000  0.0009  0.0009
Mg  0.5000  0.5026  0.5026
Mg  0.5000  0.5030  0.9974
Mg  0.5000  0.9974  0.5030
Mg  0.7329  0.1748  0.1748
Mg  0.7346  0.1739  0.6557
Mg  0.7346  0.6557  0.1739
Mg  0.7531  0.6694  0.6694
Sb  0.0000  0.4946  0.4946

Principal peaks in the range 10° ≤ 2θ ≤ 80°, in order of rising 2θ:
- 2θ = 15.49°, rel. 13
- 2θ = 17.61°, rel. 21
- 2θ = 22.86°, rel. 12
- 2θ = 31.24°, rel. 29
- 2θ = 32.38°, rel. 14
- 2θ = 33.77°, rel. 24
- 2θ = 35.63°, rel. 100
- 2θ = 46.67°, rel. 18
- 2θ = 61.62°, rel. 18
- 2θ = 66.69°, rel. 12

The following is a calculated PXRD pattern of AgBiO3. It was derived from a crystal structure in the Materials Project, relaxed with GGA-PBE, using copper Kα.

Atomic structure:
Cell lengths 6.7731, 6.7731, 3.5209 Å; angles 90.00, 90.00, 106.97 degrees
Atoms (fractional coordinates):
Ag  0.0000  0.0000  0.0000
Ag  0.5000  0.5000  0.0000
Bi  0.0000  0.5000  0.5000
Bi  0.5000  0.0000  0.5000
O  0.1425  0.8575  0.5000
O  0.1884  0.4532  0.0000
O  0.4532  0.1884  0.0000
O  0.5468  0.8116  0.0000
O  0.8116  0.5468  0.0000
O  0.8575  0.1425  0.5000

Principal peaks in the range 10° ≤ 2θ ≤ 80°, in order of rising 2θ:
- 2θ = 16.28°, rel. 16
- 2θ = 27.54°, rel. 100
- 2θ = 30.23°, rel. 80
- 2θ = 32.91°, rel. 23
- 2θ = 33.81°, rel. 46
- 2θ = 47.90°, rel. 54
- 2θ = 55.16°, rel. 30
- 2θ = 55.54°, rel. 15
- 2θ = 57.10°, rel. 15
- 2θ = 59.79°, rel. 23